[1]
For RbTl2Pd4, a crystal structure in Alexandria, relaxed with PBE gives the theoretical XRD peak list in this record (CuKα).

Most intense lines, 2θ from 5° to 70°, by angle:
two_theta  Rel. int.
14.53  33
25.40  14
29.65  11
32.85  62
39.70  100
41.91  19
44.60  23
50.09  9
54.72  13
67.31  31

Lattice parameters (Å, degrees): 8.6223 8.6223 8.4275 90.00 90.00 90.00
Space group I4/mcm (No. 140)
Asymmetric unit:
Rb 0.0000 0.0000 0.2500 (multiplicity 4)
Tl 0.1567 0.3433 0.0000 (multiplicity 8)
Pd 0.1406 0.3594 0.3358 (multiplicity 16)

***

[2]
For RePd5, a crystal structure in Alexandria, relaxed with PBE gives the theoretical XRD peak list in this record (CuKα).

Most intense lines, 2θ from 5° to 70°, by angle:
two_theta  Rel. int.
12.47  6
19.84  5
26.69  2
38.02  33
38.17  35
41.32  2
42.37  100
48.88  2
54.97  23
67.58  6

Lattice parameters (Å, degrees): 4.7152 14.2000 2.7724 90.00 90.00 90.00
Space group Cmmm (No. 65)
Asymmetric unit:
Re 0.0000 0.0000 0.0000 (multiplicity 2)
Pd 0.0000 0.1596 0.5000 (multiplicity 4)
Pd 0.0000 0.3293 0.0000 (multiplicity 4)
Pd 0.0000 0.5000 0.5000 (multiplicity 2)